[1]
Structure and simulated PXRD pattern of PrSi3Tc2 (a crystal structure in Alexandria, relaxed with PBE; Cu Ka).
Lines closer than 0.1° are merged.

Most intense lines, 2θ = 10–80°, by angle:
2θ (°), intensity
21.58, 59
30.13, 75
30.37, 57
33.99, 72
34.21, 74
36.25, 100
37.63, 54
39.64, 79
56.77, 47
58.66, 38

Crystal structure
a b c (Å): 6.1046 6.1046 5.7637
angles (deg): 90.00 90.00 74.60
Fractional positions:
Pr: 0.1625 0.8375 0.7500
Pr: 0.8375 0.1625 0.2500
Si: 0.0297 0.6118 0.2500
Si: 0.3882 0.9703 0.2500
Si: 0.4286 0.5714 0.2500
Si: 0.5714 0.4286 0.7500
Si: 0.6118 0.0297 0.7500
Si: 0.9703 0.3882 0.7500
Tc: 0.3012 0.3012 0.0000
Tc: 0.3012 0.3012 0.5000
Tc: 0.6988 0.6988 0.0000
Tc: 0.6988 0.6988 0.5000

[2]
Structure and simulated PXRD pattern of Pr2Si2Tc (a crystal structure in Alexandria, relaxed with PBE; Cu Ka).
Lines closer than 0.1° are merged.

Most intense lines, 2θ = 10–80°, by angle:
2θ (°), intensity
22.66, 47
25.42, 38
31.81, 66
32.08, 67
32.74, 48
32.91, 100
33.35, 43
35.26, 57
39.66, 41
42.22, 53

Crystal structure
a b c (Å): 6.0686 6.0686 10.6091
angles (deg): 118.14 118.14 41.31
Fractional positions:
Pr: 0.0058 0.0058 0.1785
Pr: 0.1906 0.1906 0.6078
Pr: 0.8094 0.8094 0.3922
Pr: 0.9942 0.9942 0.8215
Si: 0.3423 0.3423 0.9355
Si: 0.4939 0.4939 0.3763
Si: 0.5061 0.5061 0.6237
Si: 0.6577 0.6577 0.0645
Tc: 0.2785 0.2785 0.1263
Tc: 0.7215 0.7215 0.8737

[3]
Structure and simulated PXRD pattern of Pr5Si2Te2 (a crystal structure in Alexandria, relaxed with PBE; Cu Ka).
Lines closer than 0.1° are merged.

Most intense lines, 2θ = 10–80°, by angle:
2θ (°), intensity
24.54, 40
25.13, 33
29.85, 40
31.15, 50
31.58, 100
32.31, 52
33.52, 51
35.36, 38
35.47, 37
56.16, 31

Crystal structure
a b c (Å): 8.8876 8.8876 8.1361
angles (deg): 90.00 90.00 54.26
Fractional positions:
Pr: 0.0000 0.0000 0.0000
Pr: 0.0461 0.6998 0.6728
Pr: 0.1998 0.5461 0.1728
Pr: 0.3002 0.9539 0.6728
Pr: 0.4539 0.8002 0.1728
Pr: 0.5000 0.5000 0.5000
Pr: 0.5461 0.1998 0.8272
Pr: 0.6998 0.0461 0.3272
Pr: 0.8002 0.4539 0.8272
Pr: 0.9539 0.3002 0.3272
Si: 0.1165 0.8835 0.3841
Si: 0.3835 0.6165 0.8841
Si: 0.6165 0.3835 0.1159
Si: 0.8835 0.1165 0.6159
Te: 0.2064 0.2064 0.0000
Te: 0.2936 0.2936 0.5000
Te: 0.7064 0.7064 0.5000
Te: 0.7936 0.7936 0.0000

[4]
Structure and simulated PXRD pattern of PrTmSi3 (a crystal structure in Alexandria, relaxed with PBE; Cu Ka).
Lines closer than 0.1° are merged.

Most intense lines, 2θ = 10–80°, by angle:
2θ (°), intensity
21.18, 22
26.78, 61
29.01, 23
32.77, 100
33.04, 60
42.48, 23
45.86, 19
50.93, 21
51.59, 22
57.67, 25

Crystal structure
a b c (Å): 12.4928 12.4928 3.9577
angles (deg): 90.00 90.00 160.38
Fractional positions:
Pr: 0.0714 0.9286 0.7500
Pr: 0.9286 0.0714 0.2500
Tm: 0.2033 0.7967 0.2500
Tm: 0.7967 0.2033 0.7500
Si: 0.3197 0.6803 0.2500
Si: 0.3781 0.6219 0.7500
Si: 0.4744 0.5256 0.7500
Si: 0.5256 0.4744 0.2500
Si: 0.6219 0.3781 0.2500
Si: 0.6803 0.3197 0.7500

[5]
Structure and simulated PXRD pattern of PrTm2Si4 (a crystal structure in Alexandria, relaxed with PBE; Cu Ka).
Lines closer than 0.1° are merged.

Most intense lines, 2θ = 10–80°, by angle:
2θ (°), intensity
21.40, 28
27.62, 65
30.71, 28
32.82, 100
33.12, 58
42.29, 24
46.82, 18
51.27, 24
52.67, 33
58.55, 23

Crystal structure
a b c (Å): 3.8806 4.2739 17.4696
angles (deg): 90.00 90.00 90.00
Fractional positions:
Pr: 0.0000 0.0000 0.0000
Pr: 0.5000 0.5000 0.5000
Tm: 0.0000 0.5000 0.3165
Tm: 0.0000 0.5000 0.6835
Tm: 0.5000 0.0000 0.1835
Tm: 0.5000 0.0000 0.8165
Si: 0.0000 0.0000 0.4318
Si: 0.0000 0.0000 0.5682
Si: 0.0000 0.5000 0.1522
Si: 0.0000 0.5000 0.8478
Si: 0.5000 0.0000 0.3478
Si: 0.5000 0.0000 0.6522
Si: 0.5000 0.5000 0.0682
Si: 0.5000 0.5000 0.9318

[6]
Structure and simulated PXRD pattern of Pr2YSi (a crystal structure in Alexandria, relaxed with PBE; Cu Ka).
Lines closer than 0.1° are merged.

Most intense lines, 2θ = 10–80°, by angle:
2θ (°), intensity
24.41, 64
27.54, 100
27.95, 41
29.53, 19
30.66, 43
35.20, 56
38.98, 69
48.44, 42
54.97, 41
72.20, 22

Crystal structure
a b c (Å): 3.7582 3.7582 32.8132
angles (deg): 90.00 90.00 120.00
Fractional positions:
Pr: 0.0000 0.0000 0.1070
Pr: 0.0000 0.0000 0.8930
Pr: 0.3333 0.6667 0.5597
Pr: 0.3333 0.6667 0.7736
Pr: 0.6667 0.3333 0.2264
Pr: 0.6667 0.3333 0.4403
Y: 0.0000 0.0000 0.0000
Y: 0.3333 0.6667 0.6667
Y: 0.6667 0.3333 0.3333
Si: 0.0000 0.0000 0.5000
Si: 0.3333 0.6667 0.1667
Si: 0.6667 0.3333 0.8333

[7]
Structure and simulated PXRD pattern of Pr3Y3Si4 (a crystal structure in Alexandria, relaxed with PBE; Cu Ka).
Lines closer than 0.1° are merged.

Most intense lines, 2θ = 10–80°, by angle:
2θ (°), intensity
25.30, 17
26.49, 20
26.97, 28
31.43, 100
33.16, 43
33.94, 40
36.27, 31
37.34, 26
42.94, 24
57.43, 16

Crystal structure
a b c (Å): 4.2128 7.7303 7.7303
angles (deg): 87.30 90.00 90.00
Fractional positions:
Pr: 0.0000 0.0000 0.0000
Pr: 0.5000 0.3178 0.8448
Pr: 0.5000 0.8448 0.3178
Y: 0.0000 0.1614 0.5145
Y: 0.0000 0.5145 0.1614
Y: 0.0000 0.6513 0.6513
Si: 0.5000 0.2346 0.2346
Si: 0.5000 0.4542 0.4542
Si: 0.5000 0.7064 0.9341
Si: 0.5000 0.9341 0.7064

[8]
Structure and simulated PXRD pattern of PrYSi2 (a crystal structure in Alexandria, relaxed with PBE; Cu Ka).
Lines closer than 0.1° are merged.

Most intense lines, 2θ = 10–80°, by angle:
2θ (°), intensity
26.71, 31
27.43, 35
29.59, 100
31.73, 80
32.57, 86
35.35, 52
36.54, 51
40.08, 50
51.59, 30
57.84, 33

Crystal structure
a b c (Å): 3.9134 5.8418 8.1325
angles (deg): 90.00 90.00 90.00
Fractional positions:
Pr: 0.0000 0.1343 0.0000
Pr: 0.0000 0.8657 0.5000
Y: 0.5000 0.3651 0.6397
Y: 0.5000 0.6349 0.1397
Si: 0.0000 0.3794 0.3568
Si: 0.0000 0.6206 0.8568
Si: 0.5000 0.1322 0.2852
Si: 0.5000 0.8678 0.7852

[9]
Structure and simulated PXRD pattern of PrYSi (a crystal structure in Alexandria, relaxed with PBE; Cu Ka).
Lines closer than 0.1° are merged.

Most intense lines, 2θ = 10–80°, by angle:
2θ (°), intensity
23.63, 41
28.97, 53
29.29, 37
30.68, 100
31.66, 39
31.80, 97
32.60, 34
35.95, 46
42.61, 33
52.38, 32

Crystal structure
a b c (Å): 11.4023 4.2434 8.2972
angles (deg): 90.00 125.48 90.00
Fractional positions:
Pr: 0.0000 0.0000 0.0000
Pr: 0.0822 0.5000 0.7089
Pr: 0.5000 0.5000 0.0000
Pr: 0.5822 0.0000 0.7089
Y: 0.2330 0.0000 0.5562
Y: 0.3325 0.5000 0.2804
Y: 0.7330 0.5000 0.5562
Y: 0.8325 0.0000 0.2804
Si: 0.0320 0.5000 0.2950
Si: 0.2913 0.0000 0.9873
Si: 0.5320 0.0000 0.2950
Si: 0.7913 0.5000 0.9873

[10]
Structure and simulated PXRD pattern of PrYSi (a crystal structure in Alexandria, relaxed with PBE; Cu Ka).
Lines closer than 0.1° are merged.

Most intense lines, 2θ = 10–80°, by angle:
2θ (°), intensity
22.64, 38
29.65, 60
30.25, 100
33.04, 28
35.91, 40
40.21, 47
50.75, 27
52.99, 28
53.53, 23
66.97, 20

Crystal structure
a b c (Å): 4.4856 4.4856 8.1335
angles (deg): 90.00 90.00 90.00
Fractional positions:
Pr: 0.2500 0.2500 0.1393
Pr: 0.7500 0.7500 0.8607
Y: 0.2500 0.7500 0.5000
Y: 0.7500 0.2500 0.5000
Si: 0.2500 0.2500 0.7532
Si: 0.7500 0.7500 0.2468

[11]
Structure and simulated PXRD pattern of PrZnSi (a crystal structure in Alexandria, relaxed with PBE; Cu Ka).
Lines closer than 0.1° are merged.

Most intense lines, 2θ = 10–80°, by angle:
2θ (°), intensity
24.52, 23
32.34, 100
42.25, 13
43.15, 35
49.46, 7
54.94, 22
61.98, 24
71.02, 10
72.30, 19
79.13, 6

Crystal structure
a b c (Å): 4.1937 4.2778 7.2605
angles (deg): 90.00 90.00 90.00
Fractional positions:
Pr: 0.0000 0.0000 0.0000
Pr: 0.5000 0.0000 0.5000
Zn: 0.0000 0.5000 0.3304
Zn: 0.0000 0.5000 0.6696
Si: 0.5000 0.5000 0.1636
Si: 0.5000 0.5000 0.8364

[12]
Structure and simulated PXRD pattern of PrZn3Si (a crystal structure in Alexandria, relaxed with PBE; Cu Ka).
Lines closer than 0.1° are merged.

Most intense lines, 2θ = 10–80°, by angle:
2θ (°), intensity
24.36, 19
29.81, 32
31.53, 23
34.63, 100
35.69, 24
39.33, 24
42.83, 17
42.96, 29
44.18, 27
63.32, 18

Crystal structure
a b c (Å): 11.3666 11.3666 4.2110
angles (deg): 100.64 100.64 20.78
Fractional positions:
Pr: 0.0925 0.0925 0.3419
Pr: 0.9075 0.9075 0.6581
Zn: 0.2060 0.2060 0.9557
Zn: 0.2889 0.2889 0.5393
Zn: 0.4726 0.4726 0.2227
Zn: 0.5274 0.5274 0.7773
Zn: 0.7111 0.7111 0.4607
Zn: 0.7940 0.7940 0.0443
Si: 0.3614 0.3614 0.1124
Si: 0.6386 0.6386 0.8876